No. 1
# Rb2YGe2O6
Theoretical powder X-ray diffraction pattern, Cu Kα (weighted mean of Kα1 and Kα2). Input: a crystal structure in Alexandria, relaxed with PBE.

Largest 6 diffraction maxima, in order of rising 2θ, 2θ = 10–90°:
2θ/deg, I_rel
29.22, 100
29.71, 82
42.16, 24
52.12, 30
54.25, 30
60.59, 21

a b c (Å): 6.1135 6.1135 7.0426
angles (deg): 115.80 115.80 59.98
Fractional positions:
Rb1 0.2154 0.2154 0.1523
Rb2 0.7846 0.7846 0.8477
Y1 0.0000 0.0000 0.5000
Ge1 0.4301 0.4301 0.7814
Ge2 0.5699 0.5699 0.2186
O1 0.2471 0.2471 0.7130
O2 0.2525 0.7370 0.7286
O3 0.2630 0.7475 0.2714
O4 0.7370 0.2525 0.7286
O5 0.7475 0.2630 0.2714
O6 0.7529 0.7529 0.2870

***

No. 2
# TlReGeO6
Theoretical powder X-ray diffraction pattern, Cu Kα (weighted mean of Kα1 and Kα2). Input: a crystal structure in Alexandria, relaxed with PBE.

Largest 6 diffraction maxima, in order of rising 2θ, 2θ = 10–90°:
2θ/deg, I_rel
24.53, 100
34.66, 29
42.93, 19
45.73, 34
48.63, 14
56.31, 20

a b c (Å): 5.1755 5.1755 6.1814
angles (deg): 90.00 90.00 120.00
Fractional positions:
Tl1 0.0000 0.0000 0.0000
Re1 0.6667 0.3333 0.4905
Ge1 0.3333 0.6667 0.4361
O1 0.0026 0.3943 0.6374
O2 0.3917 0.9974 0.6374
O3 0.4077 0.3966 0.2874
O4 0.6034 0.0111 0.2874
O5 0.6057 0.6083 0.6374
O6 0.9889 0.5923 0.2874

***

No. 3
# Ge2SO2
Theoretical powder X-ray diffraction pattern, Cu Kα (weighted mean of Kα1 and Kα2). Input: a crystal structure in Alexandria, relaxed with PBE.

Largest 6 diffraction maxima, in order of rising 2θ, 2θ = 10–90°:
2θ/deg, I_rel
16.30, 100
28.40, 23
32.94, 69
40.64, 24
44.03, 18
53.26, 39

a b c (Å): 7.0262 7.0262 7.0262
angles (deg): 126.95 126.95 78.33
Fractional positions:
Ge1 0.2120 0.0000 0.2120
Ge2 0.7500 0.0380 0.2880
Ge3 0.7500 0.4620 0.7120
Ge4 0.7880 0.0000 0.7880
S1 0.3666 0.8666 0.5000
S2 0.6166 0.6166 0.0000
O1 0.4722 0.1796 0.2927
O2 0.8869 0.1796 0.7073
O3 0.9296 0.1369 0.2073
O4 0.9296 0.7222 0.7927

***

No. 4
# Ge3Sb4O12
Theoretical powder X-ray diffraction pattern, Cu Kα (weighted mean of Kα1 and Kα2). Input: a crystal structure in Alexandria, relaxed with PBE.

Largest 6 diffraction maxima, in order of rising 2θ, 2θ = 10–90°:
2θ/deg, I_rel
20.37, 52
26.39, 68
31.33, 100
41.41, 25
46.57, 20
52.83, 30

a b c (Å): 9.2505 9.2505 9.2505
angles (deg): 109.47 109.47 109.47
Fractional positions:
Ge1 0.1250 0.8750 0.2500
Ge2 0.2500 0.1250 0.8750
Ge3 0.3750 0.6250 0.7500
Ge4 0.6250 0.7500 0.3750
Ge5 0.7500 0.3750 0.6250
Ge6 0.8750 0.2500 0.1250
Sb1 0.0000 0.1979 0.5000
Sb2 0.0000 0.6979 0.5000
Sb3 0.1979 0.5000 0.0000
Sb4 0.3021 0.3021 0.3021
Sb5 0.5000 0.0000 0.1979
Sb6 0.5000 0.0000 0.6979
Sb7 0.6979 0.5000 0.0000
Sb8 0.8021 0.8021 0.8021
O1 0.0576 0.9160 0.7130
O2 0.0840 0.2970 0.1416
O3 0.1416 0.0840 0.2970
O4 0.1554 0.8584 0.4424
O5 0.2030 0.2870 0.8446
O6 0.2130 0.4160 0.5576
O7 0.2870 0.8446 0.2030
O8 0.2970 0.1416 0.0840
O9 0.3446 0.7870 0.7030
O10 0.3584 0.6554 0.9424
O11 0.4160 0.5576 0.2130
O12 0.4424 0.1554 0.8584
O13 0.5576 0.2130 0.4160
O14 0.5840 0.6416 0.7970
O15 0.6416 0.7970 0.5840
O16 0.6554 0.9424 0.3584
O17 0.7030 0.3446 0.7870
O18 0.7130 0.0576 0.9160
O19 0.7870 0.7030 0.3446
O20 0.7970 0.5840 0.6416
O21 0.8446 0.2030 0.2870
O22 0.8584 0.4424 0.1554
O23 0.9160 0.7130 0.0576
O24 0.9424 0.3584 0.6554

***

No. 5
# GeSb2O5
Theoretical powder X-ray diffraction pattern, Cu Kα (weighted mean of Kα1 and Kα2). Input: a crystal structure in Alexandria, relaxed with PBE.

Largest 6 diffraction maxima, in order of rising 2θ, 2θ = 10–90°:
2θ/deg, I_rel
17.82, 60
19.33, 100
21.87, 49
26.09, 52
31.20, 51
31.56, 69

a b c (Å): 5.5062 5.5359 5.5863
angles (deg): 64.19 65.09 82.39
Fractional positions:
Ge1 0.0000 0.0000 0.0000
Sb1 0.4139 0.8500 0.3248
Sb2 0.9368 0.3365 0.3862
O1 0.1694 0.2043 0.6208
O2 0.1715 0.7016 0.1416
O3 0.2164 0.1716 0.1195
O4 0.7193 0.1046 0.2491
O5 0.7352 0.8261 0.9866